1.
# Na5MgAs2
Computed X-ray diffraction stick pattern, λ = 1.5418 Å (Cu Kα). Input: a DFT-relaxed cell (PBE, Alexandria).
Intensities are scaled so that the largest is 100.

Peak list (10 most intense, 15° ≤ 2θ ≤ 90°, in order of falling intensity)
| 2theta | intensity |
| --- | --- |
| 34.04 | 100 |
| 19.50 | 53 |
| 20.07 | 45 |
| 39.96 | 37 |
| 24.43 | 32 |
| 39.55 | 29 |
| 31.48 | 20 |
| 60.93 | 17 |
| 64.93 | 17 |
| 53.26 | 17 |

Atomic structure:
```
16
Lattice="5.2669 0.0000 0.0000 -2.6335 4.5613 0.0000 0.0000 0.0000 18.1693" Properties=species:S:1:pos:R:3 pbc="T T T"
Na 0.0000 0.0000 2.4321
Na 0.0000 0.0000 6.6526
Na 0.0000 0.0000 11.5167
Na 0.0000 0.0000 15.7372
Na 0.0000 3.0409 0.9646
Na 0.0000 3.0409 4.5423
Na 0.0000 3.0409 8.1201
Na 2.6335 1.5204 10.0492
Na 2.6335 1.5204 13.6270
Na 2.6335 1.5204 17.2047
Mg 0.0000 3.0409 13.6270
Mg 2.6335 1.5204 4.5423
As 0.0000 3.0409 11.1005
As 0.0000 3.0409 16.1535
As 2.6335 1.5204 2.0158
As 2.6335 1.5204 7.0688
```

2.
# Pm5Tl8Zn
Computed X-ray diffraction stick pattern, λ = 1.5418 Å (Cu Kα). Input: a DFT-relaxed cell (PBE, Alexandria).
Intensities are scaled so that the largest is 100.

Peak list (10 most intense, 15° ≤ 2θ ≤ 90°, in order of falling intensity)
| 2theta | intensity |
| --- | --- |
| 29.96 | 100 |
| 36.31 | 55 |
| 35.65 | 37 |
| 30.78 | 37 |
| 35.90 | 34 |
| 47.41 | 28 |
| 60.48 | 14 |
| 23.19 | 12 |
| 49.77 | 12 |
| 49.24 | 11 |

Atomic structure:
```
14
Lattice="-4.7223 4.7223 4.5787 4.7223 -4.7223 4.5787 4.7223 4.7223 -4.5787" Properties=species:S:1:pos:R:3 pbc="T T T"
Pm 0.0000 0.0000 0.0000
Pm 3.6802 2.3560 -1.3050
Pm 2.3663 -1.0421 5.8837
Pm 1.0421 2.3663 3.2737
Pm 2.3560 5.7645 1.3050
Tl 6.2656 0.7069 -0.1299
Tl 1.7903 -0.7240 2.7188
Tl 0.7069 3.1790 0.1299
Tl 2.9320 5.4463 -1.8598
Tl 3.9983 2.9320 1.8598
Tl 4.0154 1.5433 4.7086
Tl 0.7240 1.7903 6.4385
Tl -1.5433 4.0154 4.4487
Zn 4.7223 0.0000 2.2893
```

3.
# Ca7Cl
Computed X-ray diffraction stick pattern, λ = 1.5418 Å (Cu Kα). Input: a DFT-relaxed cell (PBE, Alexandria).
Intensities are scaled so that the largest is 100.

Peak list (9 most intense, 15° ≤ 2θ ≤ 90°, in order of falling intensity)
| 2theta | intensity |
| --- | --- |
| 28.52 | 100 |
| 33.05 | 49 |
| 56.29 | 37 |
| 47.44 | 32 |
| 76.62 | 14 |
| 78.99 | 12 |
| 59.03 | 11 |
| 88.33 | 9 |
| 69.35 | 5 |

Atomic structure:
```
8
Lattice="0.0000 5.4205 5.4205 5.4205 0.0000 5.4205 5.4205 5.4205 0.0000" Properties=species:S:1:pos:R:3 pbc="T T T"
Ca 0.0000 0.0000 0.0000
Ca 2.7103 2.7103 0.0000
Ca 2.7103 0.0000 2.7103
Ca 5.4205 2.7103 2.7103
Ca 0.0000 2.7103 2.7103
Ca 2.7103 5.4205 2.7103
Ca 2.7103 2.7103 5.4205
Cl 5.4205 5.4205 5.4205
```

4.
# Rb2SrPu2O7
Computed X-ray diffraction stick pattern, λ = 1.5418 Å (Cu Kα). Input: a DFT-relaxed cell (PBE, Alexandria).
Intensities are scaled so that the largest is 100.

Peak list (10 most intense, 15° ≤ 2θ ≤ 90°, in order of falling intensity)
| 2theta | intensity |
| --- | --- |
| 28.47 | 100 |
| 29.13 | 54 |
| 51.24 | 41 |
| 20.86 | 34 |
| 41.67 | 29 |
| 49.99 | 21 |
| 58.91 | 15 |
| 15.61 | 13 |
| 39.70 | 12 |
| 83.10 | 11 |

Atomic structure:
```
12
Lattice="-2.1675 2.1675 11.3523 2.1675 -2.1675 11.3523 2.1675 2.1675 -11.3523" Properties=species:S:1:pos:R:3 pbc="T T T"
Rb 0.0000 0.0000 4.3362
Rb 0.0000 0.0000 18.3684
Sr 0.0000 0.0000 0.0000
Pu 0.0000 0.0000 9.2383
Pu 0.0000 0.0000 13.4663
O 2.1675 0.0000 1.8732
O 0.0000 0.0000 7.2517
O 2.1675 0.0000 9.4791
O 0.0000 0.0000 11.3523
O 0.0000 2.1675 1.8732
O 0.0000 0.0000 15.4529
O 0.0000 2.1675 9.4791
```

5.
# NaAg2O2
Computed X-ray diffraction stick pattern, λ = 1.5418 Å (Cu Kα). Input: a DFT-relaxed cell (PBE, Alexandria).
Intensities are scaled so that the largest is 100.

Peak list (10 most intense, 15° ≤ 2θ ≤ 90°, in order of falling intensity)
| 2theta | intensity |
| --- | --- |
| 37.72 | 100 |
| 32.52 | 77 |
| 58.06 | 59 |
| 35.23 | 57 |
| 50.64 | 47 |
| 26.41 | 43 |
| 42.44 | 31 |
| 22.87 | 30 |
| 68.12 | 26 |
| 63.15 | 20 |

Atomic structure:
```
5
Lattice="-1.8043 2.1298 4.7677 1.8043 -2.1298 4.7677 1.8043 2.1298 -4.7677" Properties=species:S:1:pos:R:3 pbc="T T T"
Na 0.0000 0.0000 0.0000
Ag 0.0000 0.0000 3.3131
Ag 0.0000 0.0000 6.2223
O 1.8043 0.0000 1.5789
O 0.0000 2.1298 3.1888
```

6.
# Pm2PrSm12
Computed X-ray diffraction stick pattern, λ = 1.5418 Å (Cu Kα). Input: a DFT-relaxed cell (PBE, Alexandria).
Intensities are scaled so that the largest is 100.

Peak list (10 most intense, 15° ≤ 2θ ≤ 90°, in order of falling intensity)
| 2theta | intensity |
| --- | --- |
| 30.20 | 100 |
| 30.92 | 99 |
| 29.33 | 75 |
| 32.49 | 70 |
| 32.69 | 60 |
| 36.51 | 56 |
| 31.26 | 32 |
| 57.55 | 32 |
| 60.83 | 31 |
| 28.70 | 29 |

Atomic structure:
```
30
Lattice="3.5820 -5.7842 0.0000 3.5820 5.7842 0.0000 0.0000 0.0000 25.0755" Properties=species:S:1:pos:R:3 pbc="T T T"
Pm 3.5820 2.8921 5.8375
Pm 3.5820 2.8921 19.3970
Pm 3.5820 -2.8921 5.6785
Pm 3.5820 -2.8921 19.2380
Pr 3.5820 2.8921 12.5632
Pr 3.5820 -2.8921 12.5123
Sm 1.8041 2.8921 15.7942
Sm 3.5820 5.7572 10.5961
Sm 1.9249 2.8921 2.0731
Sm 3.5820 5.5165 23.5799
Sm 1.7910 0.0000 4.3287
Sm 1.7910 0.0000 7.5113
Sm 1.7910 0.0000 17.5642
Sm 1.7910 0.0000 20.7468
Sm 3.5820 0.2677 23.5799
Sm 5.2390 2.8921 2.0731
Sm 3.5820 0.0271 10.5961
Sm 5.3598 2.8921 15.7942
Sm 1.8041 -2.8921 9.2812
Sm 3.5820 -0.0271 14.4794
Sm 1.9249 -2.8921 23.0024
Sm 3.5820 -0.2677 1.4956
Sm 5.3730 0.0000 4.3287
Sm 5.3730 0.0000 7.5113
Sm 5.3730 0.0000 17.5642
Sm 5.3730 0.0000 20.7468
Sm 3.5820 -5.5165 1.4956
Sm 5.2390 -2.8921 23.0024
Sm 3.5820 -5.7572 14.4794
Sm 5.3598 -2.8921 9.2812
```

7.
# SrPrBi
Computed X-ray diffraction stick pattern, λ = 1.5418 Å (Cu Kα). Input: a DFT-relaxed cell (PBE, Alexandria).
Intensities are scaled so that the largest is 100.

Peak list (10 most intense, 15° ≤ 2θ ≤ 90°, in order of falling intensity)
| 2theta | intensity |
| --- | --- |
| 29.50 | 100 |
| 35.91 | 72 |
| 27.07 | 58 |
| 35.03 | 47 |
| 55.36 | 38 |
| 20.01 | 35 |
| 30.78 | 34 |
| 51.52 | 32 |
| 36.54 | 32 |
| 67.62 | 20 |

Atomic structure:
```
18
Lattice="-4.9182 7.6850 4.4368 4.9182 -7.6850 4.4368 4.9182 7.6850 -4.4368" Properties=species:S:1:pos:R:3 pbc="T T T"
Sr -2.4591 7.6840 4.4368
Sr 7.3774 0.0010 0.0000
Sr 2.4591 -3.1503 3.4178
Sr 2.4591 4.5393 -1.0185
Sr 2.4591 10.8353 -1.0190
Sr 2.4591 3.1457 3.4183
Pr 0.0000 0.0000 3.0284
Pr 4.9182 0.0000 3.0284
Pr 0.0051 5.7704 1.9050
Pr 4.9131 5.7704 1.9050
Pr -0.0051 9.5995 1.9050
Pr 0.0051 1.9145 6.3418
Bi 0.0009 2.5611 0.7996
Bi 4.9173 2.5611 0.7996
Bi 2.4591 -0.0069 5.2371
Bi 2.4591 7.6918 0.8003
Bi -0.0009 12.8089 0.7996
Bi 0.0009 5.1239 5.2364
```

8.
# K3Li2NbF9
Computed X-ray diffraction stick pattern, λ = 1.5418 Å (Cu Kα). Input: a DFT-relaxed cell (PBE, Alexandria).
Intensities are scaled so that the largest is 100.

Peak list (10 most intense, 15° ≤ 2θ ≤ 90°, in order of falling intensity)
| 2theta | intensity |
| --- | --- |
| 43.03 | 100 |
| 21.13 | 78 |
| 29.48 | 77 |
| 17.54 | 63 |
| 30.62 | 48 |
| 37.50 | 44 |
| 53.73 | 29 |
| 63.76 | 25 |
| 61.18 | 21 |
| 58.09 | 18 |

Atomic structure:
```
15
Lattice="5.8389 0.0000 0.0000 -2.9195 5.0566 0.0000 0.0000 0.0000 7.5686" Properties=species:S:1:pos:R:3 pbc="T T T"
K 0.0000 0.0000 0.0000
K 0.0000 3.3711 5.4876
K 2.9195 1.6855 2.0810
Li 0.0000 3.3711 0.8954
Li 2.9195 1.6855 6.6732
Nb 0.0000 0.0000 3.7843
F -1.4597 2.5283 0.0000
F 0.0000 1.6149 2.5810
F -1.5209 4.2492 2.5810
F 1.3986 0.8075 4.9876
F 2.9195 0.0000 0.0000
F 1.4597 2.5283 0.0000
F 1.5209 4.2492 2.5810
F 4.4403 0.8075 4.9876
F 2.9195 3.4417 4.9876
```